Diffraction record for Li5Mn3O5F3. The XRD peak list is theoretical, not measured: it uses a structure optimized by DFT (PBE+U) and CuKα.
Intensities are scaled so that the largest is 100.

Peak list (12 most intense, 2θ from 5° to 70°, sorted by position)
| two_theta | I (rel.) | (hkl) |
| --- | --- | --- |
| 17.8 | 15 | 0 1 0 |
| 18.0 | 100 | 0 1 -1 |
| 18.1 | 19 | 1 0 -1 |
| 33.2 | 24 | 0 1 1 |
| 35.6 | 16 | -2 1 1 |
| 35.9 | 15 | 2 1 -1 |
| 39.9 | 52 | 0 0 2 |
| 43.2 | 40 | 2 -2 0 |
| 43.9 | 39 | 2 2 -2 |
| 60.0 | 13 | -2 2 2 |
| 60.5 | 24 | 2 2 0 |
| 61.1 | 12 | 2 2 -4 |

Structural model:
```
data_Li5Mn3O5F3
_chemical_formula_sum 'Li5 Mn3 O5 F3'
_symmetry_space_group_name_H-M 'P 1'
_symmetry_Int_Tables_number 1
_symmetry_space_group_name_Hall 'P 1'
_cell_length_a 5.816
_cell_length_b 5.946
_cell_length_c 6.096
_cell_angle_alpha 118.18
_cell_angle_beta 118.00
_cell_angle_gamma 90.79
loop_
_atom_site_label
_atom_site_type_symbol
_atom_site_fract_x
_atom_site_fract_y
_atom_site_fract_z
_atom_site_occupancy
Li1 Li 0.000 0.000 0.000 1
Li2 Li 0.003 0.526 0.008 1
Li3 Li 0.020 0.514 0.512 1
Li4 Li 0.521 0.002 0.005 1
Li5 Li 0.541 0.539 0.555 1
Mn1 Mn 0.002 0.004 0.486 1
Mn2 Mn 0.517 0.019 0.518 1
Mn3 Mn 0.521 0.522 0.015 1
O1 O 0.268 0.800 0.520 1
O2 O 0.281 0.253 0.538 1
O3 O 0.754 0.786 0.505 1
O4 O 0.766 0.768 0.014 1
O5 O 0.773 0.243 0.525 1
F1 F 0.243 0.766 0.992 1
F2 F 0.274 0.272 0.041 1
F3 F 0.791 0.270 0.046 1
```